# 1
NaHg2ClO2: theoretical XRD peak list (a wavelength of 1.5418 Å), based on a DFT-relaxed cell (PBE, Alexandria).
Neutral-atom scattering factors, no anomalous dispersion.

Most intense lines, 5 to 70 degrees two-theta, in order of falling intensity:
2θ/deg	I_rel	h k l
15.6	100	2 0 0
27.8	45	0 0 2
44.1	45	2 2 2
33.5	39	2 2 0
31.2	35	3 1 1
32.1	29	2 0 2
45.0	29	5 1 1
40.9	22	0 2 2
42.6	21	4 0 2
31.6	20	4 0 0

Crystal structure
```
data_NaHg2ClO2
_chemical_formula_sum 'Na4 Hg8 Cl4 O8'
_space_group_name_H-M_alt 'C m c m'
_space_group_IT_number 63
_space_group_name_Hall '-C 2c 2'
_cell_length_a 11.338
_cell_length_b 6.076
_cell_length_c 6.408
_cell_angle_alpha 90.00
_cell_angle_beta 90.00
_cell_angle_gamma 90.00
loop_
_atom_site_label
_atom_site_fract_x
_atom_site_fract_y
_atom_site_fract_z
Na1 0.000 0.075 0.250
Hg1 0.219 0.287 0.750
Cl1 0.000 0.454 0.750
O1 0.174 0.000 0.000
```

# 2
SnP2: theoretical XRD peak list (a wavelength of 1.5418 Å), based on a DFT-relaxed cell (PBE, Alexandria).
Neutral-atom scattering factors, no anomalous dispersion.

Most intense lines, 5 to 70 degrees two-theta, in order of falling intensity:
2θ/deg	I_rel	h k l
26.6	100	0 1 1
29.2	69	1 0 -1
44.1	66	1 1 1
35.4	33	1 1 0
17.9	32	0 0 1
50.1	31	1 2 -1
41.5	23	0 1 2
39.8	23	0 2 0
64.3	17	2 1 0
54.4	15	1 0 2

Crystal structure
```
data_SnP2
_chemical_formula_sum 'Sn1 P2'
_space_group_name_H-M_alt 'P 1 2/m 1'
_space_group_IT_number 10
_cell_length_a 3.217
_cell_length_b 4.535
_cell_length_c 5.207
_cell_angle_alpha 90.00
_cell_angle_beta 107.90
_cell_angle_gamma 90.00
loop_
_space_group_symop_operation_xyz
'x,y,z'
'-x,-y,-z'
'-x,y,-z'
'x,-y,z'
loop_
_atom_site_label
_atom_site_fract_x
_atom_site_fract_y
_atom_site_fract_z
Sn1 0.000 0.000 0.000
P1 0.177 0.500 0.353
```

# 3
PmH3Ir: theoretical XRD peak list (a wavelength of 1.5418 Å), based on a DFT-relaxed cell (PBE, Alexandria).
Neutral-atom scattering factors, no anomalous dispersion.

Most intense lines, 5 to 70 degrees two-theta, in order of falling intensity:
2θ/deg	I_rel	h k l
37.1	100	3 1 -1
37.9	98	3 1 1
30.2	91	1 1 -1
30.5	86	1 1 1
37.5	71	0 0 2
30.7	58	4 0 0
15.2	44	2 0 0
46.0	41	0 2 0
60.8	35	0 2 2
60.3	32	7 1 0

Crystal structure
```
data_PmH3Ir
_chemical_formula_sum 'Pm4 H12 Ir4'
_space_group_name_H-M_alt 'C 1 m 1'
_space_group_IT_number 8
_cell_length_a 11.664
_cell_length_b 3.948
_cell_length_c 4.793
_cell_angle_alpha 90.00
_cell_angle_beta 91.78
_cell_angle_gamma 90.00
loop_
_space_group_symop_operation_xyz
'x,y,z'
'x,-y,z'
'x+1/2,y+1/2,z'
'x+1/2,-y+1/2,z'
loop_
_atom_site_label
_atom_site_fract_x
_atom_site_fract_y
_atom_site_fract_z
Pm1 0.000 0.000 0.000
Pm2 0.238 0.500 0.507
H1 0.056 0.500 0.748
H2 0.179 0.000 0.254
H3 0.182 0.000 0.759
H4 0.284 0.500 0.010
H5 0.431 0.000 0.158
H6 0.449 0.500 0.506
Ir1 0.283 0.000 0.013
Ir2 0.445 0.000 0.514
```

# 4
CaPrCd3: theoretical XRD peak list (a wavelength of 1.5418 Å), based on a DFT-relaxed cell (PBE, Alexandria).
Neutral-atom scattering factors, no anomalous dispersion.

Most intense lines, 5 to 70 degrees two-theta, in order of falling intensity:
2θ/deg	I_rel	h k l
31.8	100	1 3 1
34.7	97	0 10 1
5.9	86	0 2 0
35.2	50	0 0 2
32.5	47	1 7 0
63.1	32	2 10 1
48.7	30	1 7 2
34.0	25	1 5 1
63.4	17	2 0 2
50.9	17	2 0 0

Crystal structure
```
data_CaPrCd3
_chemical_formula_sum 'Ca4 Pr4 Cd12'
_space_group_name_H-M_alt 'C m c m'
_space_group_IT_number 63
_space_group_name_Hall '-C 2c 2'
_cell_length_a 3.586
_cell_length_b 30.014
_cell_length_c 5.103
_cell_angle_alpha 90.00
_cell_angle_beta 90.00
_cell_angle_gamma 90.00
loop_
_atom_site_label
_atom_site_fract_x
_atom_site_fract_y
_atom_site_fract_z
Ca1 0.000 0.212 0.250
Pr1 0.000 0.074 0.750
Cd1 0.000 0.325 0.250
Cd2 0.000 0.379 0.750
Cd3 0.000 0.476 0.750
```

# 5
Th3TcPt2: theoretical XRD peak list (a wavelength of 1.5418 Å), based on a DFT-relaxed cell (PBE, Alexandria).
Neutral-atom scattering factors, no anomalous dispersion.

Most intense lines, 5 to 70 degrees two-theta, in order of falling intensity:
2θ/deg	I_rel	h k l
30.5	100	0 2 0
43.6	50	2 2 3
53.6	13	4 2 0
54.7	13	0 2 6
43.0	12	4 0 0
44.4	12	0 0 6
63.5	7	4 0 6
63.3	4	0 4 0
26.6	3	0 1 3
26.1	2	2 1 0

Crystal structure
```
data_Th3TcPt2
_chemical_formula_sum 'Th12 Tc4 Pt8'
_space_group_name_H-M_alt 'P n m a'
_space_group_IT_number 62
_cell_length_a 8.413
_cell_length_b 5.874
_cell_length_c 12.254
_cell_angle_alpha 90.00
_cell_angle_beta 90.00
_cell_angle_gamma 90.00
loop_
_space_group_symop_operation_xyz
'x,y,z'
'-x,-y,-z'
'-x+1/2,-y,z+1/2'
'x+1/2,y,-z+1/2'
'x+1/2,-y+1/2,-z+1/2'
'-x+1/2,y+1/2,z+1/2'
'-x,y+1/2,-z'
'x,-y+1/2,z'
loop_
_atom_site_label
_atom_site_fract_x
_atom_site_fract_y
_atom_site_fract_z
Th1 0.108 0.250 0.080
Th2 0.121 0.250 0.749
Th3 0.144 0.250 0.424
Tc1 0.132 0.750 0.092
Pt1 0.123 0.750 0.738
Pt2 0.127 0.750 0.421
```

# 6
V3Pd5: theoretical XRD peak list (a wavelength of 1.5418 Å), based on a DFT-relaxed cell (PBE, Alexandria).
Neutral-atom scattering factors, no anomalous dispersion.

Most intense lines, 5 to 70 degrees two-theta, in order of falling intensity:
2θ/deg	I_rel	h k l
40.3	100	2 0 1
46.5	33	2 4 0
68.9	19	2 4 2
47.8	15	0 0 2
22.8	6	1 2 0
32.9	5	1 2 1
67.9	5	4 0 0
67.8	5	0 8 0
29.6	2	1 1 1
58.1	2	3 2 1

Crystal structure
```
data_V3Pd5
_chemical_formula_sum 'V6 Pd10'
_space_group_name_H-M_alt 'P b a m'
_space_group_IT_number 55
_cell_length_a 5.521
_cell_length_b 11.060
_cell_length_c 3.805
_cell_angle_alpha 90.00
_cell_angle_beta 90.00
_cell_angle_gamma 90.00
loop_
_space_group_symop_operation_xyz
'x,y,z'
'-x,-y,-z'
'-x,-y,z'
'x,y,-z'
'x+1/2,-y+1/2,-z'
'-x+1/2,y+1/2,z'
'-x+1/2,y+1/2,-z'
'x+1/2,-y+1/2,z'
loop_
_atom_site_label
_atom_site_fract_x
_atom_site_fract_y
_atom_site_fract_z
V1 0.000 0.000 0.000
V2 0.236 0.119 0.500
Pd1 0.000 0.248 0.000
Pd2 0.000 0.500 0.000
Pd3 0.244 0.879 0.500
```

# 7
SrAcNi10: theoretical XRD peak list (a wavelength of 1.5418 Å), based on a DFT-relaxed cell (PBE, Alexandria).
Neutral-atom scattering factors, no anomalous dispersion.

Most intense lines, 5 to 70 degrees two-theta, in order of falling intensity:
2θ/deg	I_rel	h k l
42.3	100	1 2 0
30.4	48	1 1 1
41.0	36	0 0 4
35.3	33	0 2 0
45.8	25	2 0 0
68.2	23	1 3 3
63.2	20	2 0 4
10.1	16	0 0 1
59.2	15	2 2 0
60.4	14	1 2 4

Crystal structure
```
data_SrAcNi10
_chemical_formula_sum 'Sr1 Ac1 Ni10'
_space_group_name_H-M_alt 'P m m m'
_space_group_IT_number 47
_cell_length_a 3.961
_cell_length_b 5.078
_cell_length_c 8.799
_cell_angle_alpha 90.00
_cell_angle_beta 90.00
_cell_angle_gamma 90.00
loop_
_space_group_symop_operation_xyz
'x,y,z'
'-x,-y,-z'
'-x,-y,z'
'x,y,-z'
'x,-y,-z'
'-x,y,z'
'-x,y,-z'
'x,-y,z'
loop_
_atom_site_label
_atom_site_fract_x
_atom_site_fract_y
_atom_site_fract_z
Sr1 0.000 0.000 0.000
Ac1 0.000 0.500 0.500
Ni1 0.000 0.000 0.332
Ni2 0.000 0.500 0.166
Ni3 0.500 0.000 0.500
Ni4 0.500 0.251 0.249
Ni5 0.500 0.500 0.000
```

# 8
KSr2UO5: theoretical XRD peak list (a wavelength of 1.5418 Å), based on a DFT-relaxed cell (PBE, Alexandria).
Neutral-atom scattering factors, no anomalous dispersion.

Most intense lines, 5 to 70 degrees two-theta, in order of falling intensity:
2θ/deg	I_rel	h k l
29.0	100	1 1 2
15.8	69	0 1 1
41.6	25	0 2 4
28.1	25	0 2 0
50.3	23	1 3 2
41.9	21	1 2 3
21.7	19	1 0 1
30.0	17	0 0 4
60.2	16	2 2 4
41.4	15	2 0 0

Crystal structure
```
data_KSr2UO5
_chemical_formula_sum 'K2 Sr4 U2 O10'
_space_group_name_H-M_alt 'I m m m'
_space_group_IT_number 71
_space_group_name_Hall '-I 2 2'
_cell_length_a 4.358
_cell_length_b 6.349
_cell_length_c 11.898
_cell_angle_alpha 90.00
_cell_angle_beta 90.00
_cell_angle_gamma 90.00
loop_
_atom_site_label
_atom_site_fract_x
_atom_site_fract_y
_atom_site_fract_z
K1 0.000 0.000 0.000
Sr1 0.000 0.500 0.223
U1 0.000 0.000 0.500
O1 0.000 0.223 0.364
O2 0.000 0.500 0.000
```